[1]
Structure and computed powder diffractogram of Cs6Tl3F14 (a structure optimized by DFT (PBE); Cu Kα (weighted mean of Kα1 and Kα2)).

The 8 most intense peaks (10° ≤ 2θ ≤ 90°), in order of rising 2θ:
- 2θ 16.76, rel. 40
- 2θ 21.67, rel. 40
- 2θ 23.78, rel. 100
- 2θ 25.79, rel. 15
- 2θ 27.36, rel. 17
- 2θ 29.28, rel. 37
- 2θ 33.98, rel. 20
- 2θ 45.46, rel. 26

Atomic structure:
Unit cell a=10.5535 b=10.5535 c=6.5200 alpha=90.00 beta=90.00 gamma=120.00
Element x y z (fractional)
Cs  0.0066  0.5590  0.0000
Cs  0.2809  0.0661  0.5465
Cs  0.4410  0.4476  0.0000
Cs  0.5524  0.9934  0.0000
Cs  0.7852  0.7191  0.5465
Cs  0.9339  0.2148  0.5465
Tl  0.0000  0.0000  0.0041
Tl  0.3333  0.6667  0.4501
Tl  0.6667  0.3333  0.3860
F  0.0000  0.0000  0.3492
F  0.0511  0.8429  0.8428
F  0.1571  0.2082  0.8428
F  0.1999  0.4588  0.3101
F  0.2589  0.8001  0.3101
F  0.3333  0.6667  0.7757
F  0.4722  0.2068  0.1861
F  0.5344  0.4002  0.5735
F  0.5412  0.7411  0.3101
F  0.5998  0.1343  0.5735
F  0.7346  0.5278  0.1861
F  0.7918  0.9489  0.8428
F  0.7932  0.2654  0.1861
F  0.8657  0.4656  0.5735

[2]
Structure and computed powder diffractogram of Pr2Sc3Tl4 (a structure optimized by DFT (PBE); Cu Kα (weighted mean of Kα1 and Kα2)).

The 8 most intense peaks (10° ≤ 2θ ≤ 90°), in order of rising 2θ:
- 2θ 23.04, rel. 59
- 2θ 23.71, rel. 26
- 2θ 30.08, rel. 53
- 2θ 31.63, rel. 80
- 2θ 32.64, rel. 55
- 2θ 33.32, rel. 100
- 2θ 33.96, rel. 57
- 2θ 49.63, rel. 28

Atomic structure:
Unit cell a=8.9883 b=8.9883 c=8.7180 alpha=90.00 beta=90.00 gamma=135.33
Element x y z (fractional)
Pr  0.1104  0.8896  0.9175
Pr  0.3896  0.6104  0.4175
Pr  0.6104  0.3896  0.5825
Pr  0.8896  0.1104  0.0825
Sc  0.0000  0.0000  0.5000
Sc  0.0313  0.4687  0.7500
Sc  0.4687  0.0313  0.2500
Sc  0.5000  0.5000  0.0000
Sc  0.5313  0.9687  0.7500
Sc  0.9687  0.5313  0.2500
Tl  0.1820  0.8180  0.5426
Tl  0.2068  0.2932  0.7500
Tl  0.2932  0.2068  0.2500
Tl  0.3180  0.6820  0.0426
Tl  0.6820  0.3180  0.9574
Tl  0.7068  0.7932  0.7500
Tl  0.7932  0.7068  0.2500
Tl  0.8180  0.1820  0.4574

[3]
Structure and computed powder diffractogram of LiHo2GaS5 (a structure optimized by DFT (PBE); Cu Kα (weighted mean of Kα1 and Kα2)).

The 8 most intense peaks (10° ≤ 2θ ≤ 90°), in order of rising 2θ:
- 2θ 15.86, rel. 56
- 2θ 21.33, rel. 85
- 2θ 26.20, rel. 92
- 2θ 29.16, rel. 76
- 2θ 32.96, rel. 57
- 2θ 34.34, rel. 100
- 2θ 39.60, rel. 51
- 2θ 43.70, rel. 63

Atomic structure:
Unit cell a=8.5404 b=8.5404 c=11.1788 alpha=90.00 beta=90.00 gamma=154.61
Element x y z (fractional)
Li  0.2134  0.7866  0.5000
Li  0.7866  0.2134  0.0000
Ho  0.1220  0.8780  0.1614
Ho  0.1342  0.8658  0.7853
Ho  0.8658  0.1342  0.2853
Ho  0.8780  0.1220  0.6614
Ga  0.4334  0.5666  0.9371
Ga  0.5666  0.4334  0.4371
S  0.0432  0.9568  0.5502
S  0.2917  0.7083  0.1517
S  0.3160  0.6840  0.8297
S  0.3581  0.6419  0.4812
S  0.4979  0.5021  0.2611
S  0.5021  0.4979  0.7611
S  0.6419  0.3581  0.9812
S  0.6840  0.3160  0.3297
S  0.7083  0.2917  0.6517
S  0.9568  0.0432  0.0502

[4]
Structure and computed powder diffractogram of Tl6Co3Cl14 (a structure optimized by DFT (PBE); Cu Kα (weighted mean of Kα1 and Kα2)).

The 8 most intense peaks (10° ≤ 2θ ≤ 90°), in order of rising 2θ:
- 2θ 16.24, rel. 21
- 2θ 20.74, rel. 40
- 2θ 22.67, rel. 100
- 2θ 24.09, rel. 27
- 2θ 33.05, rel. 25
- 2θ 35.83, rel. 43
- 2θ 36.59, rel. 28
- 2θ 44.67, rel. 21

Atomic structure:
Unit cell a=11.2841 b=11.2841 c=6.5774 alpha=90.00 beta=90.00 gamma=120.00
Element x y z (fractional)
Tl  0.0302  0.5686  0.0000
Tl  0.3008  0.0936  0.4759
Tl  0.4314  0.4616  0.0000
Tl  0.5384  0.9698  0.0000
Tl  0.7928  0.6992  0.4759
Tl  0.9064  0.2072  0.4759
Co  0.0000  0.0000  0.9152
Co  0.3333  0.6667  0.4203
Co  0.6667  0.3333  0.2529
Cl  0.0000  0.0000  0.2516
Cl  0.0653  0.8576  0.7954
Cl  0.1424  0.2077  0.7954
Cl  0.2001  0.4575  0.2948
Cl  0.2574  0.7999  0.2948
Cl  0.3333  0.6667  0.7548
Cl  0.4768  0.2109  0.0557
Cl  0.5423  0.3989  0.4485
Cl  0.5425  0.7426  0.2948
Cl  0.6011  0.1433  0.4485
Cl  0.7341  0.5232  0.0557
Cl  0.7891  0.2659  0.0557
Cl  0.7923  0.9347  0.7954
Cl  0.8567  0.4577  0.4485

[5]
Structure and computed powder diffractogram of Na2CaPbF (a structure optimized by DFT (PBE); Cu Kα (weighted mean of Kα1 and Kα2)).

The 8 most intense peaks (10° ≤ 2θ ≤ 90°), in order of rising 2θ:
- 2θ 18.19, rel. 68
- 2θ 25.83, rel. 100
- 2θ 31.78, rel. 80
- 2θ 36.86, rel. 53
- 2θ 41.39, rel. 38
- 2θ 45.56, rel. 45
- 2θ 53.11, rel. 36
- 2θ 63.23, rel. 34

Atomic structure:
Unit cell a=4.8794 b=4.8794 c=4.8737 alpha=90.00 beta=90.00 gamma=90.00
Element x y z (fractional)
Na  0.0000  0.5000  0.0000
Na  0.5000  0.0000  0.0000
Ca  0.0000  0.0000  0.5000
Pb  0.5000  0.5000  0.5000
F  0.0000  0.0000  0.0000

[6]
Structure and computed powder diffractogram of Ca4Tl5Ge2 (a structure optimized by DFT (PBE); Cu Kα (weighted mean of Kα1 and Kα2)).

The 8 most intense peaks (10° ≤ 2θ ≤ 90°), in order of rising 2θ:
- 2θ 21.45, rel. 100
- 2θ 30.48, rel. 28
- 2θ 30.72, rel. 38
- 2θ 31.31, rel. 34
- 2θ 31.42, rel. 32
- 2θ 32.83, rel. 29
- 2θ 39.57, rel. 25
- 2θ 43.72, rel. 27

Atomic structure:
Unit cell a=8.1990 b=4.1408 c=9.3287 alpha=90.00 beta=93.41 gamma=90.00
Element x y z (fractional)
Ca  0.1918  0.0000  0.3478
Ca  0.2152  0.0000  0.9171
Ca  0.7848  0.0000  0.0829
Ca  0.8082  0.0000  0.6522
Tl  0.1407  0.5000  0.6312
Tl  0.4549  0.5000  0.1639
Tl  0.5000  0.5000  0.5000
Tl  0.5451  0.5000  0.8361
Tl  0.8593  0.5000  0.3688
Ge  0.0743  0.5000  0.1248
Ge  0.9257  0.5000  0.8752

[7]
Structure and computed powder diffractogram of Th3Bi2Rh (a structure optimized by DFT (PBE); Cu Kα (weighted mean of Kα1 and Kα2)).

The 8 most intense peaks (10° ≤ 2θ ≤ 90°), in order of rising 2θ:
- 2θ 27.88, rel. 59
- 2θ 28.53, rel. 100
- 2θ 39.78, rel. 17
- 2θ 40.31, rel. 78
- 2θ 41.77, rel. 17
- 2θ 49.27, rel. 19
- 2θ 50.97, rel. 20
- 2θ 65.50, rel. 23

Atomic structure:
Unit cell a=14.4670 b=13.7428 c=7.8430 alpha=79.01 beta=68.83 gamma=32.15
Element x y z (fractional)
Th  0.0432  0.5239  0.1836
Th  0.0826  0.6674  0.6674
Th  0.1836  0.7493  0.0432
Th  0.2507  0.8164  0.4761
Th  0.3326  0.9174  0.9174
Th  0.4761  0.9568  0.2507
Th  0.5239  0.0432  0.7493
Th  0.6674  0.0826  0.0826
Th  0.7493  0.1836  0.5239
Th  0.8164  0.2507  0.9568
Th  0.9174  0.3326  0.3326
Th  0.9568  0.4761  0.8164
Bi  0.1314  0.1314  0.6186
Bi  0.2984  0.2984  0.4516
Bi  0.3814  0.3814  0.8686
Bi  0.4516  0.4516  0.2984
Bi  0.5484  0.5484  0.7016
Bi  0.6186  0.6186  0.1314
Bi  0.7016  0.7016  0.5484
Bi  0.8686  0.8686  0.3814
Rh  0.0415  0.0415  0.2085
Rh  0.2085  0.2085  0.0415
Rh  0.7915  0.7915  0.9585
Rh  0.9585  0.9585  0.7915

[8]
Structure and computed powder diffractogram of CsZn3Rh (a structure optimized by DFT (PBE); Cu Kα (weighted mean of Kα1 and Kα2)).

The 8 most intense peaks (10° ≤ 2θ ≤ 90°), in order of rising 2θ:
- 2θ 25.06, rel. 68
- 2θ 30.82, rel. 56
- 2θ 35.74, rel. 100
- 2θ 44.15, rel. 29
- 2θ 51.43, rel. 69
- 2θ 61.17, rel. 22
- 2θ 64.21, rel. 23
- 2θ 86.64, rel. 30

Atomic structure:
Unit cell a=5.0250 b=5.0250 c=5.0250 alpha=90.00 beta=90.00 gamma=90.00
Element x y z (fractional)
Cs  0.0000  0.0000  0.0000
Zn  0.0000  0.5000  0.5000
Zn  0.5000  0.0000  0.5000
Zn  0.5000  0.5000  0.0000
Rh  0.5000  0.5000  0.5000

[9]
Structure and computed powder diffractogram of Tb3Sm8Tm2 (a structure optimized by DFT (PBE); Cu Kα (weighted mean of Kα1 and Kα2)).

The 8 most intense peaks (10° ≤ 2θ ≤ 90°), in order of rising 2θ:
- 2θ 24.72, rel. 23
- 2θ 29.51, rel. 34
- 2θ 30.91, rel. 34
- 2θ 31.35, rel. 43
- 2θ 33.21, rel. 100
- 2θ 40.33, rel. 13
- 2θ 57.00, rel. 21
- 2θ 64.09, rel. 12

Atomic structure:
Unit cell a=10.7832 b=10.7832 c=5.7061 alpha=90.01 beta=90.01 gamma=41.91
Element x y z (fractional)
Tb  0.0000  0.0000  0.0000
Tb  0.2867  0.7133  0.5000
Tb  0.7133  0.2867  0.5000
Sm  0.1330  0.1330  0.4998
Sm  0.1853  0.6000  0.9998
Sm  0.3279  0.3279  0.4996
Sm  0.4000  0.8147  0.0002
Sm  0.6000  0.1853  0.9998
Sm  0.6721  0.6721  0.5004
Sm  0.8147  0.4000  0.0002
Sm  0.8670  0.8670  0.5002
Tm  0.2406  0.2406  0.9995
Tm  0.7594  0.7594  0.0005

[10]
Structure and computed powder diffractogram of Sr2ScCu3O6 (a structure optimized by DFT (PBE); Cu Kα (weighted mean of Kα1 and Kα2)).

The 8 most intense peaks (10° ≤ 2θ ≤ 90°), in order of rising 2θ:
- 2θ 28.32, rel. 25
- 2θ 33.28, rel. 100
- 2θ 33.74, rel. 67
- 2θ 38.90, rel. 16
- 2θ 39.30, rel. 20
- 2θ 48.46, rel. 40
- 2θ 60.06, rel. 35
- 2θ 63.81, rel. 13

Atomic structure:
Unit cell a=3.7570 b=3.7570 c=11.5756 alpha=90.00 beta=90.00 gamma=90.00
Element x y z (fractional)
Sr  0.0000  0.0000  0.2008
Sr  0.0000  0.0000  0.7992
Sc  0.0000  0.0000  0.5000
Cu  0.5000  0.5000  0.0000
Cu  0.5000  0.5000  0.3653
Cu  0.5000  0.5000  0.6347
O  0.0000  0.5000  0.3837
O  0.0000  0.5000  0.6163
O  0.5000  0.0000  0.3837
O  0.5000  0.0000  0.6163
O  0.5000  0.5000  0.1573
O  0.5000  0.5000  0.8427